Starting from a structure optimized by DFT (GGA-PBE), the X-ray powder pattern of Mg14AlB was simulated for Cu Kα (weighted mean of Kα1 and Kα2).
Intensities are scaled so that the largest is 1000.

Structural model:
```
Mg14AlB
1.0
10.1135 0.0000 0.0000
0.0000 3.1060 5.3462
0.0000 -3.1060 5.3462
Mg Al B
14 1 1
Direct
0.0000 0.0000 0.0000
0.0000 0.0038 0.5016
0.0000 0.4997 0.4997
0.0000 0.5016 0.0038
0.2490 0.6675 0.6675
0.2586 0.1647 0.1647
0.2666 0.1674 0.6778
0.2666 0.6778 0.1674
0.5000 0.5002 0.9951
0.5000 0.9951 0.5002
0.7334 0.1674 0.6778
0.7334 0.6778 0.1674
0.7414 0.1647 0.1647
0.7510 0.6675 0.6675
0.5000 0.5054 0.5054
0.5000 0.0030 0.0030
```

Largest 10 diffraction maxima, sorted by position, 2θ from 10° to 90°:
2theta, intensity
33.36, 232
33.52, 128
35.51, 384
37.93, 1000
38.08, 475
49.51, 138
59.83, 163
65.40, 250
71.54, 175
72.88, 127


Starting from a structure optimized by DFT (GGA-PBE), the X-ray powder pattern of PrCo2Si2 was simulated for Cu Kα (weighted mean of Kα1 and Kα2).
Intensities are scaled so that the largest is 1000.

Structural model:
```
PrCo2Si2
1.0
-1.9771 1.9771 5.0376
1.9771 -1.9771 5.0376
1.9771 1.9771 -5.0376
Pr Co Si
1 2 2
Direct
0.0000 0.0000 0.0000
0.2500 0.7500 0.5000
0.7500 0.2500 0.5000
0.3656 0.3656 0.0000
0.6344 0.6344 0.0000
```

Largest 10 diffraction maxima, sorted by position, 2θ from 10° to 90°:
2theta, intensity
24.18, 459
35.06, 603
35.64, 180
36.76, 1000
45.90, 406
50.86, 166
59.04, 263
59.43, 156
64.76, 218
78.88, 199


Starting from a structure optimized by DFT (GGA-PBE), the X-ray powder pattern of La2S3O12 was simulated for Cu Kα (weighted mean of Kα1 and Kα2).
Intensities are scaled so that the largest is 1000.

Structural model:
```
La2S3O12
1.0
4.8421 2.7956 8.2019
-4.8421 2.7956 8.2019
0.0000 -5.5912 8.2019
La S O
4 6 24
Direct
0.1449 0.1449 0.1449
0.3551 0.3551 0.3551
0.6449 0.6449 0.6449
0.8551 0.8551 0.8551
0.0421 0.7500 0.4579
0.2500 0.5421 0.9579
0.4579 0.0421 0.7500
0.5421 0.9579 0.2500
0.7500 0.4579 0.0421
0.9579 0.2500 0.5421
0.0144 0.7749 0.6070
0.0674 0.9000 0.3055
0.1000 0.6945 0.9326
0.1070 0.2749 0.5144
0.1945 0.6000 0.4326
0.2251 0.3930 0.9856
0.2749 0.5144 0.1070
0.3055 0.0674 0.9000
0.3930 0.9856 0.2251
0.4000 0.5674 0.8055
0.4326 0.1945 0.6000
0.4856 0.8930 0.7251
0.5144 0.1070 0.2749
0.5674 0.8055 0.4000
0.6000 0.4326 0.1945
0.6070 0.0144 0.7749
0.6945 0.9326 0.1000
0.7251 0.4856 0.8930
0.7749 0.6070 0.0144
0.8055 0.4000 0.5674
0.8930 0.7251 0.4856
0.9000 0.3055 0.0674
0.9326 0.1000 0.6945
0.9856 0.2251 0.3930
```

Largest 10 diffraction maxima, sorted by position, 2θ from 10° to 90°:
2theta, intensity
12.77, 471
17.88, 1000
18.32, 710
21.31, 646
25.71, 641
28.52, 675
31.76, 411
32.01, 424
46.74, 343
49.83, 289


Starting from a structure optimized by DFT (GGA-PBE), the X-ray powder pattern of Dy3Al12Os4 was simulated for Cu Kα (weighted mean of Kα1 and Kα2).
Intensities are scaled so that the largest is 1000.

Structural model:
```
Dy3Al12Os4
1.0
8.8432 0.0000 0.0000
-4.4216 7.6584 0.0000
0.0000 0.0000 9.5681
Dy Al Os
6 24 8
Direct
0.1932 0.3865 0.2500
0.1932 0.8068 0.2500
0.3865 0.1932 0.7500
0.6135 0.8068 0.2500
0.8068 0.1932 0.7500
0.8068 0.6135 0.7500
0.0000 0.0000 0.2500
0.0000 0.0000 0.7500
0.1200 0.5600 0.7500
0.1627 0.3254 0.5758
0.1627 0.3254 0.9242
0.1627 0.8373 0.5758
0.1627 0.8373 0.9242
0.3254 0.1627 0.0758
0.3254 0.1627 0.4242
0.3333 0.6667 0.0146
0.3333 0.6667 0.4854
0.4400 0.5600 0.7500
0.4400 0.8800 0.7500
0.5600 0.1200 0.2500
0.5600 0.4400 0.2500
0.6667 0.3333 0.5145
0.6667 0.3333 0.9854
0.6746 0.8373 0.5758
0.6746 0.8373 0.9242
0.8373 0.1627 0.0758
0.8373 0.1627 0.4242
0.8373 0.6746 0.0758
0.8373 0.6746 0.4242
0.8800 0.4400 0.2500
0.0000 0.0000 0.0000
0.0000 0.0000 0.5000
0.0000 0.5000 0.0000
0.0000 0.5000 0.5000
0.5000 0.0000 0.0000
0.5000 0.0000 0.5000
0.5000 0.5000 0.0000
0.5000 0.5000 0.5000
```

Largest 10 diffraction maxima, sorted by position, 2θ from 10° to 90°:
2theta, intensity
23.23, 324
25.05, 220
29.89, 1000
36.67, 243
37.60, 239
40.82, 555
44.67, 178
51.41, 203
56.70, 299
67.63, 192


Starting from a structure optimized by DFT (GGA-PBE), the X-ray powder pattern of Mg6CoSb was simulated for Cu Kα (weighted mean of Kα1 and Kα2).
Intensities are scaled so that the largest is 1000.

Structural model:
```
Mg6CoSb
1.0
4.8587 0.0000 0.0000
0.0000 3.1142 5.3130
0.0000 -3.1142 5.3130
Mg Co Sb
6 1 1
Direct
0.0000 0.0000 0.0000
0.0000 0.0081 0.4707
0.0000 0.4707 0.0081
0.0000 0.4883 0.4883
0.5000 0.1577 0.6621
0.5000 0.6621 0.1577
0.5000 0.1605 0.1605
0.5000 0.6584 0.6584
```

Largest 10 diffraction maxima, sorted by position, 2θ from 10° to 90°:
2theta, intensity
16.69, 402
18.26, 314
24.83, 291
33.35, 337
37.00, 351
38.28, 1000
38.63, 482
50.66, 199
67.53, 175
72.72, 174


Starting from a structure optimized by DFT (GGA-PBE), the X-ray powder pattern of Zn was simulated for Cu Kα (weighted mean of Kα1 and Kα2).
Intensities are scaled so that the largest is 1000.

Structural model:
```
Zn
1.0
-1.5690 1.5690 1.5690
1.5690 -1.5690 1.5690
1.5690 1.5690 -1.5690
Zn
1
Direct
0.0000 0.0000 0.0000
```

Largest 4 diffraction maxima, sorted by position, 2θ from 10° to 90°:
2theta, intensity
40.66, 1000
58.86, 159
73.99, 308
88.03, 97


Starting from a structure optimized by DFT (GGA-PBE), the X-ray powder pattern of MgUPb2O6 was simulated for Cu Kα (weighted mean of Kα1 and Kα2).
Intensities are scaled so that the largest is 1000.

Structural model:
```
MgUPb2O6
1.0
5.8740 0.0000 0.0000
0.0000 5.8446 0.0000
-5.7501 0.0000 8.5118
Mg U Pb O
2 2 4 12
Direct
0.0000 0.0000 0.0000
0.0000 0.5000 0.5000
0.5000 0.0000 0.5000
0.5000 0.5000 0.0000
0.2184 0.0275 0.7387
0.2184 0.4725 0.2387
0.7816 0.5275 0.7613
0.7816 0.9725 0.2613
0.1965 0.0188 0.2494
0.1965 0.4812 0.7494
0.2127 0.6948 0.0139
0.2127 0.8052 0.5139
0.3239 0.2109 0.0218
0.3239 0.2891 0.5218
0.6761 0.7109 0.4782
0.6761 0.7891 0.9782
0.7873 0.1948 0.4861
0.7873 0.3052 0.9861
0.8035 0.5188 0.2506
0.8035 0.9812 0.7506
```

Largest 10 diffraction maxima, sorted by position, 2θ from 10° to 90°:
2theta, intensity
18.43, 678
29.94, 978
30.26, 1000
30.44, 499
30.59, 482
42.48, 286
43.70, 468
53.25, 207
53.57, 310
54.17, 407


Starting from a structure optimized by DFT (GGA-PBE), the X-ray powder pattern of Ca3SnO was simulated for Cu Kα (weighted mean of Kα1 and Kα2).
Intensities are scaled so that the largest is 1000.

Structural model:
```
Ca3SnO
1.0
4.8509 0.0000 0.0000
0.0000 4.8509 0.0000
0.0000 0.0000 4.8509
Ca Sn O
3 1 1
Direct
0.0000 0.0000 0.5000
0.0000 0.5000 0.0000
0.5000 0.0000 0.0000
0.5000 0.5000 0.5000
0.0000 0.0000 0.0000
```

Largest 10 diffraction maxima, sorted by position, 2θ from 10° to 90°:
2theta, intensity
18.29, 179
25.98, 430
31.96, 1000
37.07, 651
41.63, 115
45.82, 194
53.42, 429
63.62, 400
66.81, 142
87.69, 171


Starting from a structure optimized by DFT (GGA-PBE), the X-ray powder pattern of Ba2Al4Si6H14O27 was simulated for Cu Kα (weighted mean of Kα1 and Kα2).
Intensities are scaled so that the largest is 1000.

Structural model:
```
Ba2Al4Si6H14O27
1.0
8.3002 0.0000 0.0000
-0.2800 8.3643 0.0000
-1.2908 -0.1345 8.6798
Ba Al Si H O
2 4 6 14 27
Direct
0.0000 0.0000 0.0000
0.4798 0.4511 0.0230
0.4342 0.1513 0.7134
0.4363 0.8092 0.6599
0.9619 0.6794 0.3119
0.9885 0.3170 0.3025
0.0140 0.4194 0.9796
0.1158 0.3619 0.6566
0.2083 0.8642 0.3673
0.5094 0.9123 0.0291
0.5545 0.4371 0.6340
0.7508 0.9854 0.2881
0.0203 0.6999 0.0227
0.0955 0.6448 0.7188
0.1619 0.5124 0.9519
0.1729 0.9619 0.6454
0.2192 0.5236 0.3061
0.3628 0.0739 0.3235
0.4027 0.0498 0.9638
0.4324 0.8088 0.8761
0.4825 0.7478 0.2309
0.6726 0.9251 0.9775
0.6860 0.0005 0.6908
0.7358 0.4680 0.3554
0.8459 0.4584 0.0018
0.8525 0.3037 0.7524
0.0455 0.2720 0.5002
0.0579 0.8178 0.4628
0.0600 0.7667 0.8206
0.0701 0.2854 0.1062
0.1010 0.5111 0.3016
0.1177 0.7884 0.1964
0.1293 0.5522 0.6476
0.2460 0.0553 0.3295
0.2747 0.2836 0.7567
0.2897 0.9741 0.6830
0.3762 0.7916 0.4562
0.4301 0.4772 0.3183
0.4566 0.7425 0.1182
0.4773 0.2624 0.5256
0.5266 0.6115 0.7089
0.5403 0.5380 0.4330
0.5640 0.0187 0.2046
0.5732 0.9860 0.7142
0.5866 0.3212 0.7934
0.6638 0.3046 0.5352
0.7239 0.9709 0.4783
0.7977 0.8087 0.2358
0.8261 0.4813 0.2950
0.8418 0.0147 0.5951
0.8685 0.1318 0.2518
0.9520 0.6835 0.9176
0.9699 0.3221 0.7940
```

Largest 10 diffraction maxima, sorted by position, 2θ from 10° to 90°:
2theta, intensity
15.39, 302
18.85, 337
21.25, 482
21.67, 1000
23.49, 287
24.22, 341
25.34, 396
26.54, 297
30.91, 316
34.85, 299